Computed powder diffraction line list
Compound: Rb3Mn2ZnF9
Radiation: Cu Kα
Structure: DFT lattice parameters and positions (PBE+U)

Atomic structure:
abc: 6.0345 6.0345 7.3910
angles: 90.00 90.00 120.00
Space group P-3m1 (No. 164)
One atom of each set of equivalent atoms:
Rb (0.0000, 0.0000, 0.0000) x1
Rb (0.3333, 0.6667, 0.6657) x2
Mn (0.3333, 0.6667, 0.1704) x2
Zn (0.0000, 0.0000, 0.5000) x1
F (0.0000, 0.5000, 0.0000) x3
F (0.1637, 0.3274, 0.3374) x6

Largest 9 diffraction maxima, by intensity, 2θ from 10° to 90°:
two_theta  Rel. int.  h k l
29.61  100  1 1 0
42.36  47  2 0 2
52.53  39  3 0 0
61.46  28  2 2 0
85.06  20  4 1 0
69.68  17  3 1 2
36.47  16  0 2 1
77.49  9  0 4 2
73.63  5  2 2 3